Calculated powder diffraction line list of Tl16Sn12Hg for Cu Ka, from DFT lattice parameters and positions (GGA-PBE).
Neutral-atom scattering factors, no anomalous dispersion.

Structural model:
```
Tl16Sn12Hg
1.0
6.053 -8.505 0.000
6.053 8.505 0.000
-5.895 0.000 8.562
Tl Sn Hg
16 12 1
Cartesian
0.000 0.000 0.000
4.441 -5.462 5.482
-3.765 0.000 5.491
0.513 2.690 2.079
-2.005 5.091 8.218
3.961 3.342 2.810
0.513 -2.690 2.079
1.785 2.369 5.476
4.441 5.462 5.482
6.507 2.655 0.363
1.785 -2.369 5.476
-2.005 -5.091 8.218
6.014 0.000 2.490
3.961 -3.342 2.810
2.810 0.000 7.972
6.507 -2.655 0.363
1.161 5.404 3.922
3.308 6.933 2.395
3.234 1.564 0.064
-0.435 0.000 3.925
1.241 5.409 7.077
-0.440 0.000 6.992
3.234 -1.564 0.064
1.161 -5.404 3.922
5.009 1.519 5.546
3.308 -6.933 2.395
5.009 -1.519 5.546
1.241 -5.409 7.077
2.726 0.000 3.080
```

Main lines, in order of rising 2θ (2θ = 10–90°):
Position (°2θ)  I_rel
29.58  15
31.18  53
31.33  78
31.47  59
31.58  100
34.46  13
34.96  19
55.74  17
55.91  12
56.01  11
56.15  18
56.21  14


Calculated powder diffraction line list of RbSn2Hg4 for Cu Ka, from DFT lattice parameters and positions (GGA-PBE).
Neutral-atom scattering factors, no anomalous dispersion.

Structural model:
```
RbSn2Hg4
1.0
9.075 0.000 0.000
0.000 5.240 0.000
-0.011 0.000 10.960
Rb Sn Hg
2 4 8
Cartesian
0.000 0.000 0.000
4.537 2.620 0.000
1.507 2.620 5.482
3.019 0.000 5.478
6.044 0.000 5.482
7.556 2.620 5.478
1.499 2.620 8.549
1.514 2.620 2.418
3.012 0.000 8.542
3.027 0.000 2.411
6.036 0.000 8.549
6.052 0.000 2.418
7.549 2.620 8.542
7.564 2.620 2.411
```

Main lines, in order of rising 2θ (2θ = 10–90°):
Position (°2θ)  I_rel
16.17  26
19.56  57
24.36  21
25.49  38
31.44  35
32.68  25
34.23  100
38.07  21
42.46  30
48.05  51
61.28  19
70.00  18


Calculated powder diffraction line list of Na5B7C3 for Cu Ka, from DFT lattice parameters and positions (GGA-PBE).
Neutral-atom scattering factors, no anomalous dispersion.

Structural model:
```
Na5B7C3
1.0
7.051 -2.572 0.000
7.051 2.572 0.000
0.000 0.000 8.595
Na B C
10 14 6
Cartesian
0.000 0.000 0.000
0.000 0.000 4.297
2.831 0.000 0.000
2.831 0.000 4.297
5.642 0.000 0.000
5.642 0.000 4.297
8.460 0.000 0.000
8.460 0.000 4.297
11.272 0.000 0.000
11.272 0.000 4.297
5.659 1.789 6.446
5.632 1.647 2.149
4.183 0.783 6.446
8.443 1.789 6.446
8.470 1.647 2.149
7.051 0.704 6.446
4.183 -0.783 2.149
9.920 0.783 6.446
7.051 -0.704 2.149
5.632 -1.647 6.446
5.659 -1.789 2.149
9.920 -0.783 2.149
8.470 -1.647 6.446
8.443 -1.789 2.149
4.214 0.828 2.149
7.051 0.822 2.149
4.214 -0.828 6.446
9.888 0.828 2.149
7.051 -0.822 6.446
9.888 -0.828 6.446
```

Main lines, in order of rising 2θ (2θ = 10–90°):
Position (°2θ)  I_rel
34.89  12
36.33  16
40.89  48
42.05  38
42.16  100
56.76  9
63.50  18
66.28  8
76.92  13
79.12  17
80.89  10
81.67  8


Calculated powder diffraction line list of Pm5TlIr2 for Cu Ka, from DFT lattice parameters and positions (GGA-PBE).
Neutral-atom scattering factors, no anomalous dispersion.

Structural model:
```
Pm5TlIr2
1.0
-3.984 3.984 7.026
3.984 -3.984 7.026
3.984 3.984 -7.026
Pm Tl Ir
10 2 4
Cartesian
0.000 0.000 0.000
5.276 1.291 -1.847
1.291 2.693 -1.847
5.276 1.291 1.847
1.291 2.693 1.847
0.000 0.000 7.026
2.693 1.291 5.179
-1.291 2.693 5.179
2.693 1.291 8.874
-1.291 2.693 8.874
0.000 0.000 3.513
0.000 0.000 10.539
2.886 1.098 0.000
2.886 -1.098 7.026
1.098 5.082 0.000
1.098 2.886 7.026
```

Main lines, in order of rising 2θ (2θ = 10–90°):
Position (°2θ)  I_rel
12.60  21
20.20  14
29.97  17
31.55  100
31.76  14
34.02  30
35.63  67
40.89  34
52.06  13
64.69  23
66.24  16
79.74  12


Calculated powder diffraction line list of SiRuBr2 for Cu Ka, from DFT lattice parameters and positions (GGA-PBE).
Neutral-atom scattering factors, no anomalous dispersion.

Structural model:
```
SiRuBr2
1.0
3.132 0.000 0.000
0.000 3.656 0.000
0.000 0.000 8.473
Si Ru Br
1 1 2
Cartesian
0.000 0.000 0.000
1.566 1.828 7.938
0.000 0.000 2.271
1.566 1.828 5.554
```

Main lines, in order of rising 2θ (2θ = 10–90°):
Position (°2θ)  I_rel
10.44  69
26.55  100
30.43  70
31.68  57
37.82  91
49.75  30
49.89  20
50.14  61
52.13  26
59.56  20
60.31  17
75.03  18


Calculated powder diffraction line list of Zr2HgF11 for Cu Ka, from DFT lattice parameters and positions (GGA-PBE).
Neutral-atom scattering factors, no anomalous dispersion.

Structural model:
```
Zr2HgF11
1.0
-3.996 5.079 5.455
3.996 -5.079 5.455
3.996 5.079 -5.455
Zr Hg F
4 2 22
Cartesian
1.012 1.885 0.000
5.008 3.194 0.000
-1.012 1.885 5.455
2.984 3.194 5.455
3.996 0.000 2.727
0.000 5.079 2.727
0.000 0.000 0.000
4.782 1.708 -1.461
6.056 -0.911 1.508
4.782 -1.708 3.994
2.931 -2.860 5.455
1.936 0.911 1.508
1.936 -0.911 3.947
2.931 2.860 0.000
4.782 1.708 1.461
2.060 5.990 -1.508
0.786 3.371 1.461
0.000 0.000 5.455
3.210 1.708 3.994
1.936 -0.911 6.963
-0.786 3.371 3.994
1.065 2.219 5.455
2.060 5.990 1.508
2.060 4.168 3.947
1.065 7.939 0.000
-0.786 6.787 1.461
-2.060 5.990 3.947
-0.786 3.371 6.916
```

Main lines, in order of rising 2θ (2θ = 10–90°):
Position (°2θ)  I_rel
14.10  36
21.58  100
22.27  21
23.94  60
25.30  29
28.63  20
32.88  22
44.12  28
46.46  22
48.56  21
49.00  21
49.20  19


Calculated powder diffraction line list of SrAg6Br8 for Cu Ka, from DFT lattice parameters and positions (GGA-PBE).
Neutral-atom scattering factors, no anomalous dispersion.

Structural model:
```
SrAg6Br8
1.0
11.134 0.000 0.000
-5.567 9.642 0.000
0.000 0.000 5.027
Sr Ag Br
1 6 8
Cartesian
0.000 0.000 0.000
-0.141 3.867 1.393
-2.147 7.830 1.393
3.279 2.056 3.634
2.288 7.586 1.393
7.714 1.811 3.634
5.708 5.775 3.634
-3.447 7.630 3.816
0.683 2.842 3.816
2.803 0.830 1.211
0.000 6.428 0.822
5.567 3.214 4.205
2.764 8.812 3.816
4.884 6.800 1.211
9.013 2.012 1.211
```

Main lines, in order of rising 2θ (2θ = 10–90°):
Position (°2θ)  I_rel
18.40  100
19.92  77
23.85  55
24.43  38
32.16  63
33.08  85
35.72  32
40.47  51
44.76  84
46.81  48
62.99  21
70.46  22